No. 1
For Ce2Th3ScSe6, a GGA-PBE-relaxed structure gives the theoretical X-ray diffraction stick pattern in this record (Cu Kα).
No peak broadening, texture or thermal motion is included.

Main lines, sorted by position (2θ = 10–90°):
hkl	2theta	Rel. int.
2 0 -1	12.8	10.0
4 0 1	25.4	9.1
2 0 2	26.5	17.3
1 1 -2	30.5	100.0
7 1 -2	43.2	38.1
0 2 0	44.1	36.2
6 2 0	54.6	19.1
2 2 -4	63.4	8.1
8 2 -4	71.3	16.9
1 3 -2	72.7	10.9

Atomic structure:
```
data_Ce2Th3ScSe6
_cell_length_a 18.2058
_cell_length_b 4.1062
_cell_length_c 8.3904
_cell_angle_alpha 90.00
_cell_angle_beta 105.11
_cell_angle_gamma 90.00
_space_group_name_H-M_alt 'C 1 2/m 1'
_space_group_IT_number 12
loop_
_space_group_symop_operation_xyz
'x,y,z'
'-x,-y,-z'
'-x,y,-z'
'x,-y,z'
'x+1/2,y+1/2,z'
'-x+1/2,-y+1/2,-z'
'-x+1/2,y+1/2,-z'
'x+1/2,-y+1/2,z'
loop_
_atom_site_label
_atom_site_type_symbol
_atom_site_fract_x
_atom_site_fract_y
_atom_site_fract_z
Ce1 Ce 0.1656 0.0000 0.3326
Th1 Th 0.0000 0.5000 0.5000
Th2 Th 0.1698 0.0000 0.8337
Sc1 Sc 0.0000 0.5000 0.0000
Se1 Se 0.0015 0.0000 0.7700
Se2 Se 0.1576 0.5000 0.0804
Se3 Se 0.1682 0.5000 0.5801
```

No. 2
For CaPmMgRu, a GGA-PBE-relaxed structure gives the theoretical X-ray diffraction stick pattern in this record (Cu Kα).
No peak broadening, texture or thermal motion is included.

Main lines, sorted by position (2θ = 10–90°):
hkl	2theta	Rel. int.
1 1 1	21.3	39.2
2 2 0	35.1	100.0
3 1 1	41.4	21.4
4 0 0	50.5	17.4
3 3 1	55.4	9.3
4 2 2	63.0	35.2
5 1 1	67.3	7.0
4 4 0	74.2	10.7
5 3 1	78.2	6.9
6 2 0	84.8	15.1

Atomic structure:
```
data_CaPmMgRu
_cell_length_a 7.2319
_cell_length_b 7.2319
_cell_length_c 7.2319
_cell_angle_alpha 90.00
_cell_angle_beta 90.00
_cell_angle_gamma 90.00
_space_group_name_H-M_alt 'F -4 3 m'
_space_group_IT_number 216
_space_group_name_Hall 'F -4 2 3'
loop_
_atom_site_label
_atom_site_type_symbol
_atom_site_fract_x
_atom_site_fract_y
_atom_site_fract_z
Ca1 Ca 0.0000 0.0000 0.0000
Pm1 Pm 0.0000 0.0000 0.5000
Mg1 Mg 0.2500 0.2500 0.2500
Ru1 Ru 0.2500 0.2500 0.7500
```

No. 3
For Mg3Zn2Rh2, a GGA-PBE-relaxed structure gives the theoretical X-ray diffraction stick pattern in this record (Cu Kα).
No peak broadening, texture or thermal motion is included.

Main lines, sorted by position (2θ = 10–90°):
hkl	2theta	Rel. int.
0 0 1	10.7	100.0
2 0 -1	18.6	28.4
1 1 1	35.1	19.2
2 0 -4	38.1	22.9
4 0 -1	39.1	11.8
1 1 2	41.5	53.9
3 1 -2	41.7	55.7
4 0 0	43.5	18.4
3 1 -3	44.7	8.1
0 2 0	61.4	8.3

Atomic structure:
```
data_Mg3Zn2Rh2
_cell_length_a 9.5497
_cell_length_b 3.0195
_cell_length_c 9.4590
_cell_angle_alpha 90.00
_cell_angle_beta 119.27
_cell_angle_gamma 90.00
_space_group_name_H-M_alt 'C 1 m 1'
_space_group_IT_number 8
loop_
_space_group_symop_operation_xyz
'x,y,z'
'x,-y,z'
'x+1/2,y+1/2,z'
'x+1/2,-y+1/2,z'
loop_
_atom_site_label
_atom_site_type_symbol
_atom_site_fract_x
_atom_site_fract_y
_atom_site_fract_z
Mg1 Mg 0.0000 0.0000 0.0000
Mg2 Mg 0.1240 0.5000 0.7786
Mg3 Mg 0.3298 0.5000 0.1899
Zn1 Zn 0.1036 0.0000 0.5090
Zn2 Zn 0.3477 0.0000 0.4536
Rh1 Rh 0.0956 0.5000 0.2724
Rh2 Rh 0.3537 0.5000 0.6819
```

No. 4
For Ge2MoPb2, a GGA-PBE-relaxed structure gives the theoretical X-ray diffraction stick pattern in this record (Cu Kα).
No peak broadening, texture or thermal motion is included.

Main lines, sorted by position (2θ = 10–90°):
hkl	2theta	Rel. int.
1 0 1	25.4	57.0
0 0 6	29.3	33.6
1 0 5	35.1	100.0
1 1 0	35.5	25.9
1 1 2	36.9	65.2
1 1 4	40.8	27.9
1 0 7	42.9	34.1
2 0 0	51.1	31.3
1 1 10	62.7	26.6
2 1 5	63.6	36.5

Atomic structure:
```
data_Ge2MoPb2
_cell_length_a 3.5718
_cell_length_b 3.5718
_cell_length_c 18.2850
_cell_angle_alpha 90.00
_cell_angle_beta 90.00
_cell_angle_gamma 90.00
_space_group_name_H-M_alt 'I 4/m m m'
_space_group_IT_number 139
_space_group_name_Hall '-I 4 2'
loop_
_atom_site_label
_atom_site_type_symbol
_atom_site_fract_x
_atom_site_fract_y
_atom_site_fract_z
Ge1 Ge 0.0000 0.5000 0.2500
Mo1 Mo 0.0000 0.0000 0.0000
Pb1 Pb 0.0000 0.0000 0.4098
```

No. 5
For K8Rb3Pd, a GGA-PBE-relaxed structure gives the theoretical X-ray diffraction stick pattern in this record (Cu Kα).
No peak broadening, texture or thermal motion is included.

Main lines, sorted by position (2θ = 10–90°):
hkl	2theta	Rel. int.
1 0 1	11.8	38.1
2 0 1	17.3	52.4
2 1 1	21.5	28.0
1 1 2	22.6	27.6
2 0 2	23.8	100.0
2 2 0	25.3	82.8
3 1 1	28.0	27.1
3 0 2	29.0	25.5
2 1 3	34.5	25.4
4 2 1	40.3	24.9

Atomic structure:
```
data_K8Rb3Pd
_cell_length_a 14.0645
_cell_length_b 14.0645
_cell_length_c 9.4637
_cell_angle_alpha 90.00
_cell_angle_beta 90.00
_cell_angle_gamma 120.00
_space_group_name_H-M_alt 'P 63 m c'
_space_group_IT_number 186
_space_group_name_Hall 'P 6c -2c'
loop_
_atom_site_label
_atom_site_type_symbol
_atom_site_fract_x
_atom_site_fract_y
_atom_site_fract_z
K1 K 0.0000 0.0000 0.0204
K2 K 0.0584 0.5292 0.0000
K3 K 0.2263 0.4526 0.2875
K4 K 0.3333 0.6667 0.7066
Rb1 Rb 0.1546 0.3092 0.7697
Pd1 Pd 0.3333 0.6667 0.0569
```

No. 6
For Si12CO24, a GGA-PBE-relaxed structure gives the theoretical X-ray diffraction stick pattern in this record (Cu Kα).
No peak broadening, texture or thermal motion is included.

Main lines, sorted by position (2θ = 10–90°):
hkl	2theta	Rel. int.
0 2 0	12.5	34.4
2 2 0	16.0	19.8
2 0 1	19.7	100.0
4 0 0	20.0	20.7
2 2 -1	23.4	14.2
3 1 1	23.5	58.3
4 2 0	23.6	15.8
3 3 0	24.1	48.9
0 4 0	25.2	42.7
0 0 2	34.3	16.0

Atomic structure:
```
data_Si12CO24
_cell_length_a 17.7986
_cell_length_b 14.1268
_cell_length_c 5.2327
_cell_angle_alpha 90.00
_cell_angle_beta 90.01
_cell_angle_gamma 90.00
_space_group_name_H-M_alt 'C 1 m 1'
_space_group_IT_number 8
loop_
_space_group_symop_operation_xyz
'x,y,z'
'x,-y,z'
'x+1/2,y+1/2,z'
'x+1/2,-y+1/2,z'
loop_
_atom_site_label
_atom_site_type_symbol
_atom_site_fract_x
_atom_site_fract_y
_atom_site_fract_z
Si1 Si 0.0000 0.0000 0.0000
Si2 Si 0.0273 0.5000 0.3351
Si3 Si 0.0627 0.2062 0.9378
Si4 Si 0.1572 0.5000 0.0341
Si5 Si 0.2260 0.2947 0.9877
Si6 Si 0.3217 0.2958 0.4871
Si7 Si 0.3961 0.5000 0.4999
Si8 Si 0.4843 0.2066 0.4381
C1 C 0.0154 0.5000 0.9873
O1 O 0.0198 0.2624 0.1651
O2 O 0.0276 0.2370 0.6643
O3 O 0.0533 0.0926 0.9724
O4 O 0.0797 0.5000 0.8479
O5 O 0.1216 0.5000 0.3243
O6 O 0.1516 0.2309 0.9431
O7 O 0.2069 0.4076 0.9721
O8 O 0.2601 0.2704 0.2680
O9 O 0.2873 0.2711 0.7671
O10 O 0.3427 0.4077 0.4682
O11 O 0.3955 0.2313 0.4433
O12 O 0.4347 0.5000 0.7817
O13 O 0.4610 0.5000 0.2812
O14 O 0.4926 0.0929 0.4753
```

No. 7
For LiNiIr2, a GGA-PBE-relaxed structure gives the theoretical X-ray diffraction stick pattern in this record (Cu Kα).
No peak broadening, texture or thermal motion is included.

Main lines, sorted by position (2θ = 10–90°):
hkl	2theta	Rel. int.
0 0 2	18.9	94.2
0 1 1	22.3	28.1
0 0 4	38.2	25.1
1 1 0	39.3	36.4
0 2 0	41.1	34.0
1 1 2	43.9	100.0
1 0 3	44.4	18.4
0 2 2	45.6	20.3
0 1 5	52.9	21.4
1 3 2	76.9	19.2

Atomic structure:
```
data_LiNiIr2
_cell_length_a 2.6890
_cell_length_b 4.3921
_cell_length_c 9.4147
_cell_angle_alpha 90.00
_cell_angle_beta 90.00
_cell_angle_gamma 90.00
_space_group_name_H-M_alt 'I m m m'
_space_group_IT_number 71
_space_group_name_Hall '-I 2 2'
loop_
_atom_site_label
_atom_site_type_symbol
_atom_site_fract_x
_atom_site_fract_y
_atom_site_fract_z
Li1 Li 0.0000 0.0000 0.0000
Ni1 Ni 0.0000 0.0000 0.5000
Ir1 Ir 0.0000 0.5000 0.2204
```

No. 8
For Sm4Dy, a GGA-PBE-relaxed structure gives the theoretical X-ray diffraction stick pattern in this record (Cu Kα).
No peak broadening, texture or thermal motion is included.

Main lines, sorted by position (2θ = 10–90°):
hkl	2theta	Rel. int.
2 0 1	30.3	100.0
1 1 3	35.2	50.6
0 2 0	50.6	36.2
2 2 1	60.1	39.4
4 0 2	63.1	9.3
2 2 6	74.4	5.7
5 1 0	82.3	10.3
2 2 -9	82.5	7.3
4 2 2	85.0	11.0
0 2 10	85.1	5.4

Atomic structure:
```
data_Sm4Dy
_cell_length_a 6.2537
_cell_length_b 3.6099
_cell_length_c 14.8540
_cell_angle_alpha 90.00
_cell_angle_beta 97.97
_cell_angle_gamma 90.00
_space_group_name_H-M_alt 'C 1 2/m 1'
_space_group_IT_number 12
loop_
_space_group_symop_operation_xyz
'x,y,z'
'-x,-y,-z'
'-x,y,-z'
'x,-y,z'
'x+1/2,y+1/2,z'
'-x+1/2,-y+1/2,-z'
'-x+1/2,y+1/2,-z'
'x+1/2,-y+1/2,z'
loop_
_atom_site_label
_atom_site_type_symbol
_atom_site_fract_x
_atom_site_fract_y
_atom_site_fract_z
Sm1 Sm 0.1014 0.0000 0.3024
Sm2 Sm 0.1997 0.5000 0.1006
Dy1 Dy 0.0000 0.5000 0.5000
```

No. 9
For AcIn2Ni2, a GGA-PBE-relaxed structure gives the theoretical X-ray diffraction stick pattern in this record (Cu Kα).
No peak broadening, texture or thermal motion is included.

Main lines, sorted by position (2θ = 10–90°):
hkl	2theta	Rel. int.
1 1 -1	27.4	79.9
2 0 1	28.4	29.5
1 1 1	30.3	56.8
3 1 0	34.1	100.0
4 0 -1	36.0	77.7
0 2 0	42.1	40.8
3 1 -2	44.9	33.9
1 1 2	45.1	40.1
4 2 -1	56.6	42.0
5 1 1	58.2	25.0

Atomic structure:
```
data_AcIn2Ni2
_cell_length_a 10.2989
_cell_length_b 4.2948
_cell_length_c 5.1395
_cell_angle_alpha 90.00
_cell_angle_beta 104.81
_cell_angle_gamma 90.00
_space_group_name_H-M_alt 'C 1 2/m 1'
_space_group_IT_number 12
loop_
_space_group_symop_operation_xyz
'x,y,z'
'-x,-y,-z'
'-x,y,-z'
'x,-y,z'
'x+1/2,y+1/2,z'
'-x+1/2,-y+1/2,-z'
'-x+1/2,y+1/2,-z'
'x+1/2,-y+1/2,z'
loop_
_atom_site_label
_atom_site_type_symbol
_atom_site_fract_x
_atom_site_fract_y
_atom_site_fract_z
Ac1 Ac 0.0000 0.0000 0.0000
In1 In 0.1562 0.5000 0.5846
Ni1 Ni 0.2339 0.5000 0.1238
```

No. 10
For Ca5Pm2, a GGA-PBE-relaxed structure gives the theoretical X-ray diffraction stick pattern in this record (Cu Kα).
No peak broadening, texture or thermal motion is included.

Main lines, sorted by position (2θ = 10–90°):
hkl	2theta	Rel. int.
1 0 7	28.6	100.0
1 0 9	31.6	20.3
0 0 14	32.8	14.9
1 1 0	33.3	34.8
1 1 2	33.6	11.1
1 0 11	35.0	10.2
1 1 14	47.5	20.3
2 0 0	47.8	12.1
2 1 7	56.7	27.3
2 0 14	59.2	10.2

Atomic structure:
```
data_Ca5Pm2
_cell_length_a 3.8038
_cell_length_b 3.8038
_cell_length_c 38.2156
_cell_angle_alpha 90.00
_cell_angle_beta 90.00
_cell_angle_gamma 90.00
_space_group_name_H-M_alt 'I 4/m m m'
_space_group_IT_number 139
_space_group_name_Hall '-I 4 2'
loop_
_atom_site_label
_atom_site_type_symbol
_atom_site_fract_x
_atom_site_fract_y
_atom_site_fract_z
Ca1 Ca 0.0000 0.0000 0.0000
Ca2 Ca 0.0000 0.0000 0.1493
Ca3 Ca 0.0000 0.0000 0.4255
Pm1 Pm 0.0000 0.0000 0.2804
```

No. 11
For Pm4Sm2Tl3H2, a GGA-PBE-relaxed structure gives the theoretical X-ray diffraction stick pattern in this record (Cu Kα).
No peak broadening, texture or thermal motion is included.

Main lines, sorted by position (2θ = 10–90°):
hkl	2theta	Rel. int.
1 0 1	18.6	21.4
1 1 2	26.9	34.6
1 1 4	29.6	19.3
1 0 7	30.9	20.3
1 1 6	33.7	100.0
2 0 0	37.1	56.4
2 0 10	52.3	12.4
2 2 0	53.4	20.9
2 0 12	58.1	12.7
3 1 6	64.7	30.9

Atomic structure:
```
data_Pm4Sm2Tl3H2
_cell_length_a 4.8510
_cell_length_b 4.8510
_cell_length_c 25.2316
_cell_angle_alpha 90.00
_cell_angle_beta 90.00
_cell_angle_gamma 90.00
_space_group_name_H-M_alt 'I 4/m m m'
_space_group_IT_number 139
_space_group_name_Hall '-I 4 2'
loop_
_atom_site_label
_atom_site_type_symbol
_atom_site_fract_x
_atom_site_fract_y
_atom_site_fract_z
Pm1 Pm 0.0000 0.5000 0.0850
Sm1 Sm 0.0000 0.0000 0.1993
Tl1 Tl 0.0000 0.0000 0.3256
Tl2 Tl 0.0000 0.0000 0.5000
H1 H 0.0000 0.0000 0.1042
```